Theoretical powder XRD pattern of BeInCu2 for CuKα, from a crystal structure in OQMD, relaxed with PBE.

Atomic structure:
```
BeInCu2
1.0
5.967 0.000 0.000
0.000 5.967 0.000
0.000 0.000 5.967
Be In Cu
4 4 8
direct
0.000 0.000 0.000
0.000 0.000 0.500
0.000 0.500 0.000
0.500 0.000 0.000
0.000 0.500 0.500
0.500 0.000 0.500
0.500 0.500 0.000
0.500 0.500 0.500
0.216 0.216 0.216
0.216 0.216 0.784
0.216 0.784 0.216
0.216 0.784 0.784
0.784 0.216 0.216
0.784 0.216 0.784
0.784 0.784 0.216
0.784 0.784 0.784
```

Most intense lines, 10 to 90 degrees two-theta, by intensity:
2θ = 42.87°, I 100.0
2θ = 33.59°, I 47.2
2θ = 78.54°, I 21.8
2θ = 45.61°, I 16.7
2θ = 64.38°, I 16.4
2θ = 25.86°, I 14.7

---

Theoretical powder XRD pattern of BeInCuNi for CuKα, from a crystal structure in OQMD, relaxed with PBE.

Atomic structure:
```
BeInCuNi
1.0
5.914 0.000 0.000
0.000 5.914 0.000
0.000 0.000 5.914
Be In Cu Ni
4 4 4 4
direct
0.000 0.000 0.000
0.000 0.500 0.500
0.500 0.000 0.500
0.500 0.500 0.000
0.250 0.250 0.250
0.250 0.750 0.750
0.750 0.250 0.750
0.750 0.750 0.250
0.250 0.250 0.750
0.250 0.750 0.250
0.750 0.250 0.250
0.750 0.750 0.750
0.000 0.000 0.500
0.000 0.500 0.000
0.500 0.000 0.000
0.500 0.500 0.500
```

Most intense lines, 10 to 90 degrees two-theta, by intensity:
2θ = 43.27°, I 100.0
2θ = 79.37°, I 30.7
2θ = 30.22°, I 26.9
2θ = 26.10°, I 22.8
2θ = 62.85°, I 15.5
2θ = 51.23°, I 10.5

---

Theoretical powder XRD pattern of BeInCuTc for CuKα, from a crystal structure in OQMD, relaxed with PBE.

Atomic structure:
```
BeInCuTc
1.0
6.107 0.000 0.000
0.000 6.107 0.000
0.000 0.000 6.107
Be In Cu Tc
4 4 4 4
direct
0.000 0.000 0.000
0.000 0.500 0.500
0.500 0.000 0.500
0.500 0.500 0.000
0.000 0.000 0.500
0.000 0.500 0.000
0.500 0.000 0.000
0.500 0.500 0.500
0.250 0.250 0.750
0.250 0.750 0.250
0.750 0.250 0.250
0.750 0.750 0.750
0.250 0.250 0.250
0.250 0.750 0.750
0.750 0.250 0.750
0.750 0.750 0.250
```

Most intense lines, 10 to 90 degrees two-theta, by intensity:
2θ = 41.84°, I 100.0
2θ = 25.26°, I 39.6
2θ = 76.40°, I 31.7
2θ = 49.50°, I 18.9
2θ = 60.66°, I 15.9
2θ = 66.77°, I 7.5

---

Theoretical powder XRD pattern of LaBeCu12 for CuKα, from a crystal structure in OQMD, relaxed with PBE.

Atomic structure:
```
LaBeCu12
1.0
0.000 5.731 5.731
5.731 0.000 5.731
5.731 5.731 0.000
La Be Cu
2 2 24
direct
0.250 0.250 0.250
0.750 0.750 0.750
0.000 0.000 0.000
0.500 0.500 0.500
0.062 0.292 0.708
0.062 0.708 0.938
0.062 0.938 0.292
0.208 0.438 0.792
0.208 0.562 0.438
0.208 0.792 0.562
0.292 0.062 0.938
0.292 0.708 0.062
0.292 0.938 0.708
0.438 0.208 0.562
0.438 0.562 0.792
0.438 0.792 0.208
0.562 0.208 0.792
0.562 0.438 0.208
0.562 0.792 0.438
0.708 0.062 0.292
0.708 0.292 0.938
0.708 0.938 0.062
0.792 0.208 0.438
0.792 0.438 0.562
0.792 0.562 0.208
0.938 0.062 0.708
0.938 0.292 0.062
0.938 0.708 0.292
```

Most intense lines, 10 to 90 degrees two-theta, by intensity:
2θ = 46.89°, I 100.0
2θ = 35.01°, I 69.6
2θ = 38.48°, I 48.3
2θ = 58.03°, I 20.2
2θ = 26.95°, I 20.0
2θ = 67.37°, I 18.2